1.
Simulated powder diffraction line list
Compound: LiScSi2O6
Radiation: a wavelength of 1.5418 Å
Structure: the GGA-PBE geometry in the Materials Project
Kinematic intensities with the Lorentz-polarization factor, no thermal factor.

Cell lengths 9.498, 9.048, 5.408 Å; angles 90.00, 101.87, 90.00 degrees
Fractional coordinates of all 40 atoms:
Li  0.250  0.004  0.003
Li  0.250  0.496  0.503
Li  0.750  0.504  0.497
Li  0.750  0.996  0.997
Sc  0.250  0.644  0.003
Sc  0.250  0.856  0.503
Sc  0.750  0.144  0.497
Sc  0.750  0.356  0.997
Si  0.049  0.164  0.268
Si  0.049  0.336  0.768
Si  0.451  0.164  0.726
Si  0.451  0.336  0.226
Si  0.549  0.664  0.774
Si  0.549  0.836  0.274
Si  0.951  0.664  0.232
Si  0.951  0.836  0.732
O  0.105  0.249  0.540
O  0.105  0.251  0.040
O  0.121  0.001  0.280
O  0.121  0.499  0.780
O  0.129  0.667  0.290
O  0.129  0.833  0.790
O  0.371  0.666  0.716
O  0.371  0.834  0.216
O  0.378  0.002  0.728
O  0.378  0.498  0.228
O  0.397  0.238  0.444
O  0.397  0.262  0.944
O  0.603  0.738  0.056
O  0.603  0.762  0.556
O  0.622  0.502  0.772
O  0.622  0.998  0.272
O  0.629  0.166  0.784
O  0.629  0.334  0.284
O  0.871  0.167  0.210
O  0.871  0.333  0.710
O  0.879  0.501  0.220
O  0.879  0.999  0.720
O  0.895  0.749  0.960
O  0.895  0.751  0.460

Peak list (10 most intense, 2θ from 10° to 90°, sorted by position)
2theta  Rel. int.
13.7  25
19.4  23
19.6  32
24.8  39
28.9  100
30.5  61
35.4  29
36.3  21
41.3  29
54.8  20

=====

2.
Simulated powder diffraction line list
Compound: LiSc4Si4O14
Radiation: a wavelength of 1.5418 Å
Structure: the GGA-PBE geometry in the Materials Project
Kinematic intensities with the Lorentz-polarization factor, no thermal factor.

Cell lengths 6.715, 6.715, 6.715 Å; angles 120.02, 119.89, 90.08 degrees
Fractional coordinates of all 23 atoms:
Li  0.000  0.000  0.000
Sc  0.374  0.124  0.750
Sc  0.374  0.623  0.250
Sc  0.374  0.623  0.750
Sc  0.873  0.623  0.250
Si  0.393  0.130  0.263
Si  0.867  0.130  0.262
Si  0.867  0.130  0.737
Si  0.867  0.605  0.738
O  0.196  0.196  0.395
O  0.196  0.801  0.000
O  0.197  0.197  0.000
O  0.248  0.748  0.500
O  0.499  0.499  0.000
O  0.553  0.053  0.109
O  0.553  0.053  0.500
O  0.553  0.445  0.500
O  0.801  0.196  0.000
O  0.801  0.801  0.000
O  0.801  0.801  0.605
O  0.944  0.053  0.500
O  0.944  0.445  0.891
O  0.945  0.445  0.500

Peak list (10 most intense, 2θ from 10° to 90°, sorted by position)
2theta  Rel. int.
32.7  100
37.9  7
41.4  23
49.9  10
54.7  51
54.7  10
65.1  29
65.2  6
68.4  6
80.9  5

=====

3.
Simulated powder diffraction line list
Compound: LiScSi2O6
Radiation: a wavelength of 1.5418 Å
Structure: the GGA-PBE geometry in the Materials Project
Kinematic intensities with the Lorentz-polarization factor, no thermal factor.

Cell lengths 6.730, 6.730, 5.414 Å; angles 105.13, 105.13, 84.69 degrees
Fractional coordinates of all 20 atoms:
Li  0.248  0.752  0.750
Li  0.752  0.248  0.250
Sc  0.108  0.892  0.250
Sc  0.892  0.108  0.750
Si  0.212  0.385  0.278
Si  0.385  0.212  0.778
Si  0.615  0.788  0.222
Si  0.788  0.615  0.722
O  0.036  0.205  0.158
O  0.125  0.620  0.345
O  0.205  0.036  0.658
O  0.349  0.357  0.060
O  0.357  0.349  0.560
O  0.380  0.875  0.155
O  0.620  0.125  0.845
O  0.643  0.651  0.440
O  0.651  0.643  0.940
O  0.795  0.964  0.342
O  0.875  0.380  0.655
O  0.964  0.795  0.842

Peak list (10 most intense, 2θ from 10° to 90°, sorted by position)
2theta  Rel. int.
13.6  25
19.4  22
19.6  30
24.8  39
28.8  100
30.5  59
35.4  28
36.4  19
54.8  19
55.3  25

=====

4.
Simulated powder diffraction line list
Compound: LiSc4Si4O14
Radiation: a wavelength of 1.5418 Å
Structure: the GGA-PBE geometry in the Materials Project
Kinematic intensities with the Lorentz-polarization factor, no thermal factor.

Cell lengths 6.773, 6.773, 6.773 Å; angles 58.61, 58.61, 58.61 degrees
Fractional coordinates of all 23 atoms:
Li  0.000  0.000  0.000
Sc  0.242  0.242  0.242
Sc  0.269  0.269  0.731
Sc  0.269  0.731  0.269
Sc  0.731  0.269  0.269
Si  0.245  0.742  0.742
Si  0.739  0.739  0.739
Si  0.742  0.245  0.742
Si  0.742  0.742  0.245
O  0.060  0.060  0.668
O  0.060  0.668  0.060
O  0.069  0.667  0.667
O  0.116  0.116  0.116
O  0.360  0.360  0.360
O  0.415  0.817  0.817
O  0.422  0.422  0.818
O  0.422  0.818  0.422
O  0.667  0.069  0.667
O  0.667  0.667  0.069
O  0.668  0.060  0.060
O  0.817  0.415  0.817
O  0.817  0.817  0.415
O  0.818  0.422  0.422

Peak list (10 most intense, 2θ from 10° to 90°, sorted by position)
2theta  Rel. int.
32.0  36
33.0  100
38.0  12
41.4  9
42.0  17
54.2  40
55.4  43
64.4  10
65.5  21
66.0  11

=====

5.
Simulated powder diffraction line list
Compound: Li2SeO4
Radiation: a wavelength of 1.5418 Å
Structure: the GGA-PBE geometry in the Materials Project
Kinematic intensities with the Lorentz-polarization factor, no thermal factor.

Cell lengths 8.571, 9.633, 9.973 Å; angles 97.79, 108.43, 113.66 degrees
Fractional coordinates of all 42 atoms:
Li  0.000  0.000  0.000
Li  0.007  0.235  0.347
Li  0.061  0.916  0.491
Li  0.256  0.547  0.703
Li  0.296  0.458  0.028
Li  0.352  0.970  0.862
Li  0.484  0.706  0.313
Li  0.513  0.227  0.143
Li  0.576  0.130  0.471
Li  0.773  0.764  0.684
Li  0.814  0.446  0.828
Li  0.836  0.686  0.178
Se  0.105  0.703  0.867
Se  0.207  0.162  0.796
Se  0.236  0.068  0.318
Se  0.598  0.619  0.863
Se  0.640  0.523  0.381
Se  0.726  0.975  0.308
O  0.062  0.153  0.884
O  0.095  0.557  0.946
O  0.098  0.872  0.280
O  0.105  0.146  0.228
O  0.132  0.968  0.700
O  0.174  0.879  0.982
O  0.252  0.738  0.781
O  0.344  0.136  0.504
O  0.413  0.194  0.935
O  0.416  0.122  0.269
O  0.416  0.563  0.909
O  0.438  0.484  0.232
O  0.492  0.549  0.677
O  0.575  0.938  0.390
O  0.661  0.799  0.195
O  0.692  0.709  0.477
O  0.732  0.117  0.227
O  0.732  0.545  0.954
O  0.735  0.815  0.898
O  0.803  0.552  0.310
O  0.845  0.314  0.604
O  0.886  0.625  0.740
O  0.945  0.055  0.437
O  0.983  0.367  0.567

Peak list (10 most intense, 2θ from 10° to 90°, sorted by position)
2theta  Rel. int.
11.9  88
12.0  76
12.2  56
19.7  100
20.4  26
21.1  37
21.9  31
24.4  48
27.2  35
28.2  34

=====

6.
Simulated powder diffraction line list
Compound: LiSe2O6
Radiation: a wavelength of 1.5418 Å
Structure: the GGA-PBE geometry in the Materials Project
Kinematic intensities with the Lorentz-polarization factor, no thermal factor.

Cell lengths 5.562, 7.392, 8.314 Å; angles 90.00, 120.12, 90.00 degrees
Fractional coordinates of all 18 atoms:
Li  0.000  0.221  0.000
Li  0.000  0.779  0.500
Se  0.093  0.231  0.605
Se  0.093  0.769  0.105
Se  0.615  0.395  0.201
Se  0.615  0.605  0.701
O  0.049  0.285  0.780
O  0.049  0.715  0.280
O  0.363  0.298  0.220
O  0.363  0.702  0.720
O  0.414  0.262  0.645
O  0.414  0.738  0.145
O  0.728  0.265  0.089
O  0.728  0.735  0.589
O  0.905  0.417  0.444
O  0.905  0.583  0.944
O  0.945  0.044  0.491
O  0.945  0.956  0.991

Peak list (10 most intense, 2θ from 10° to 90°, sorted by position)
2theta  Rel. int.
12.0  37
17.2  16
20.2  100
22.0  26
22.2  29
24.1  20
24.8  37
27.1  26
29.6  44
38.6  19

=====

7.
Simulated powder diffraction line list
Compound: LiSeO3
Radiation: a wavelength of 1.5418 Å
Structure: the GGA-PBE geometry in the Materials Project
Kinematic intensities with the Lorentz-polarization factor, no thermal factor.

Cell lengths 5.417, 5.437, 11.534 Å; angles 90.00, 90.00, 90.00 degrees
Fractional coordinates of all 20 atoms:
Li  0.199  0.235  0.414
Li  0.301  0.765  0.914
Li  0.699  0.265  0.586
Li  0.801  0.735  0.086
Se  0.211  0.590  0.642
Se  0.289  0.410  0.142
Se  0.711  0.910  0.358
Se  0.789  0.090  0.858
O  0.095  0.052  0.872
O  0.145  0.619  0.055
O  0.198  0.456  0.280
O  0.302  0.544  0.780
O  0.355  0.381  0.555
O  0.405  0.948  0.372
O  0.595  0.448  0.128
O  0.645  0.881  0.945
O  0.698  0.044  0.720
O  0.802  0.956  0.220
O  0.855  0.119  0.445
O  0.905  0.552  0.628

Peak list (10 most intense, 2θ from 10° to 90°, sorted by position)
2theta  Rel. int.
22.5  100
23.2  55
24.4  19
28.4  11
31.0  11
33.0  13
33.1  12
33.9  13
40.3  12
44.1  14

=====

8.
Simulated powder diffraction line list
Compound: Li2SeO4
Radiation: a wavelength of 1.5418 Å
Structure: the GGA-PBE geometry in the Materials Project
Kinematic intensities with the Lorentz-polarization factor, no thermal factor.

Cell lengths 8.587, 8.587, 8.587 Å; angles 100.85, 100.85, 100.85 degrees
Fractional coordinates of all 42 atoms:
Li  0.107  0.682  0.878
Li  0.122  0.893  0.318
Li  0.191  0.576  0.458
Li  0.318  0.122  0.893
Li  0.424  0.542  0.809
Li  0.458  0.191  0.576
Li  0.542  0.809  0.424
Li  0.576  0.458  0.191
Li  0.682  0.878  0.107
Li  0.809  0.424  0.542
Li  0.878  0.107  0.682
Li  0.893  0.318  0.122
Se  0.136  0.248  0.580
Se  0.248  0.580  0.136
Se  0.420  0.864  0.752
Se  0.580  0.136  0.248
Se  0.752  0.420  0.864
Se  0.864  0.752  0.420
O  0.060  0.754  0.485
O  0.129  0.451  0.214
O  0.143  0.176  0.749
O  0.176  0.749  0.143
O  0.214  0.129  0.451
O  0.246  0.439  0.609
O  0.246  0.515  0.940
O  0.251  0.857  0.824
O  0.391  0.754  0.561
O  0.439  0.609  0.246
O  0.451  0.214  0.129
O  0.485  0.060  0.754
O  0.515  0.940  0.246
O  0.549  0.786  0.871
O  0.561  0.391  0.754
O  0.609  0.246  0.439
O  0.749  0.143  0.176
O  0.754  0.485  0.060
O  0.754  0.561  0.391
O  0.786  0.871  0.549
O  0.824  0.251  0.857
O  0.857  0.824  0.251
O  0.871  0.549  0.786
O  0.940  0.246  0.515

Peak list (10 most intense, 2θ from 10° to 90°, sorted by position)
2theta  Rel. int.
13.4  34
17.2  28
21.9  100
22.7  33
25.5  64
29.1  11
32.7  15
35.9  18
37.0  11
42.9  22